# TePdPb
Theoretical powder XRD pattern, Cu Kα. Input: a cell relaxed with GGA-PBE.

Main lines, in order of rising 2θ (2θ = 10–90°):
2theta, d/Å, intensity
22.6, 3.932, 23
26.2, 3.405, 32
37.3, 2.408, 100
53.8, 1.703, 17
60.8, 1.523, 13
67.4, 1.390, 36

```
TePdPb
1.0
6.8103 0.0000 0.0000
0.0000 6.8103 0.0000
0.0000 0.0000 6.8103
Te Pd Pb
4 4 4
Direct
0.0000 0.0000 0.0000 Te
0.0000 0.5000 0.5000 Te
0.5000 0.0000 0.5000 Te
0.5000 0.5000 0.0000 Te
0.2500 0.2500 0.2500 Pd
0.2500 0.7500 0.7500 Pd
0.7500 0.2500 0.7500 Pd
0.7500 0.7500 0.2500 Pd
0.0000 0.0000 0.5000 Pb
0.0000 0.5000 0.0000 Pb
0.5000 0.0000 0.0000 Pb
0.5000 0.5000 0.5000 Pb
```



# Tl4CoCl
Theoretical powder XRD pattern, Cu Kα. Input: a cell relaxed with GGA-PBE.

Main lines, in order of rising 2θ (2θ = 10–90°):
2theta, d/Å, intensity
17.1, 5.190, 79
33.0, 2.711, 100
34.6, 2.595, 86
52.9, 1.730, 35
58.0, 1.589, 37
69.3, 1.355, 35

```
Tl4CoCl
1.0
0.0000 4.4949 4.4949
4.4949 0.0000 4.4949
4.4949 4.4949 0.0000
Tl Co Cl
4 1 1
Direct
0.1252 0.1252 0.1252 Tl
0.1252 0.1252 0.6245 Tl
0.1252 0.6245 0.1252 Tl
0.6245 0.1252 0.1252 Tl
0.5000 0.5000 0.5000 Co
0.7500 0.7500 0.7500 Cl
```



# Sm2DyHo4Mg
Theoretical powder XRD pattern, Cu Kα. Input: a cell relaxed with GGA-PBE.

Main lines, in order of rising 2θ (2θ = 10–90°):
2theta, d/Å, intensity
31.1, 2.875, 100
35.7, 2.517, 17
36.3, 2.477, 33
51.8, 1.765, 24
61.3, 1.513, 15
62.0, 1.497, 14

```
Sm2DyHo4Mg
1.0
4.9486 0.0000 0.0000
0.0000 4.9593 0.0000
0.0000 0.0000 10.0672
Sm Dy Ho Mg
2 1 4 1
Direct
0.0000 0.0000 0.0000 Sm
0.5000 0.5000 0.5000 Sm
0.0000 0.0000 0.5000 Dy
0.0000 0.5000 0.2493 Ho
0.0000 0.5000 0.7507 Ho
0.5000 0.0000 0.2493 Ho
0.5000 0.0000 0.7507 Ho
0.5000 0.5000 0.0000 Mg
```



# RbZnCuO2
Theoretical powder XRD pattern, Cu Kα. Input: a cell relaxed with GGA-PBE.

Main lines, in order of rising 2θ (2θ = 10–90°):
2theta, d/Å, intensity
25.2, 3.535, 66
29.3, 3.050, 100
32.8, 2.734, 100
39.7, 2.271, 99
39.8, 2.265, 78
59.1, 1.563, 65

```
RbZnCuO2
1.0
2.8143 -6.0991 0.0000
2.8143 6.0991 0.0000
0.0000 0.0000 4.8937
Rb Zn Cu O
2 2 2 4
Direct
0.2500 0.7500 0.7499 Rb
0.7500 0.2500 0.2501 Rb
0.2500 0.2500 0.0000 Zn
0.7500 0.7500 0.0000 Zn
0.0000 0.0000 0.5000 Cu
0.5000 0.5000 0.5000 Cu
0.0930 0.9070 0.1981 O
0.4070 0.5930 0.1981 O
0.5930 0.4070 0.8019 O
0.9070 0.0930 0.8019 O
```